This entry pairs a crystal structure of Ca2LaSbO6 with its calculated powder X-ray diffraction pattern. Radiation: a wavelength of 1.5418 Å. Structure: DFT lattice parameters and positions (PBE).
No peak broadening, texture or thermal motion is included.

The 10 most intense peaks (2θ = 5–70°), in order of rising 2θ:
| Position (°2θ) | I_rel |
| --- | --- |
| 18.4 | 30 |
| 18.9 | 29 |
| 30.1 | 22 |
| 30.6 | 100 |
| 31.2 | 22 |
| 43.8 | 14 |
| 44.0 | 23 |
| 53.8 | 15 |
| 55.2 | 24 |
| 63.8 | 14 |

Cell and atoms:
Cell lengths 5.725, 5.934, 10.049 Å; angles 90.00, 124.69, 90.00 degrees
Fractional positions:
Ca1 0.000 0.200 0.000
Ca2 0.000 0.800 0.500
Ca3 0.263 0.247 0.749
Ca4 0.263 0.753 0.249
La1 0.523 0.301 0.496
La2 0.523 0.699 0.996
Sb1 0.761 0.250 0.247
Sb2 0.761 0.750 0.747
O1 0.103 0.199 0.477
O2 0.103 0.801 0.977
O3 0.417 0.298 0.018
O4 0.417 0.702 0.518
O5 0.529 0.069 0.302
O6 0.529 0.931 0.802
O7 0.651 0.468 0.813
O8 0.651 0.532 0.313
O9 0.870 0.034 0.683
O10 0.870 0.966 0.183
O11 0.994 0.431 0.194
O12 0.994 0.569 0.694

---

This entry pairs a crystal structure of Ca2LaSbO6 with its calculated powder X-ray diffraction pattern. Radiation: a wavelength of 1.5418 Å. Structure: DFT lattice parameters and positions (PBE).
No peak broadening, texture or thermal motion is included.

The 10 most intense peaks (2θ = 5–70°), in order of rising 2θ:
| Position (°2θ) | I_rel |
| --- | --- |
| 20.7 | 54 |
| 29.5 | 100 |
| 36.3 | 2 |
| 42.2 | 36 |
| 46.2 | 1 |
| 47.5 | 23 |
| 52.3 | 39 |
| 61.2 | 22 |
| 65.3 | 11 |
| 69.4 | 18 |

Cell and atoms:
Cell lengths 6.059, 6.059, 6.059 Å; angles 60.00, 60.00, 60.00 degrees
Fractional positions:
Ca1 0.250 0.250 0.250
Ca2 0.750 0.750 0.750
La1 0.000 0.000 0.000
Sb1 0.500 0.500 0.500
O1 0.268 0.268 0.732
O2 0.268 0.732 0.268
O3 0.268 0.732 0.732
O4 0.732 0.268 0.268
O5 0.732 0.268 0.732
O6 0.732 0.732 0.268

---

This entry pairs a crystal structure of SrCaLaSbO6 with its calculated powder X-ray diffraction pattern. Radiation: a wavelength of 1.5418 Å. Structure: DFT lattice parameters and positions (PBE).
No peak broadening, texture or thermal motion is included.

The 10 most intense peaks (2θ = 5–70°), in order of rising 2θ:
| Position (°2θ) | I_rel |
| --- | --- |
| 20.6 | 23 |
| 29.6 | 82 |
| 29.7 | 80 |
| 30.0 | 100 |
| 41.9 | 31 |
| 42.8 | 24 |
| 43.2 | 23 |
| 52.4 | 40 |
| 52.9 | 39 |
| 53.2 | 39 |

Cell and atoms:
Cell lengths 5.955, 5.955, 8.626 Å; angles 90.00, 90.00, 90.51 degrees
Fractional positions:
Sr1 0.000 0.000 0.250
Sr2 0.000 0.000 0.750
Ca1 0.500 0.500 0.250
Ca2 0.500 0.500 0.750
La1 0.000 0.500 0.000
La2 0.500 0.000 0.500
Sb1 0.000 0.500 0.500
Sb2 0.500 0.000 0.000
O1 0.000 0.500 0.267
O2 0.000 0.500 0.733
O3 0.153 0.802 0.500
O4 0.198 0.847 0.000
O5 0.306 0.352 0.500
O6 0.352 0.306 0.000
O7 0.500 0.000 0.233
O8 0.500 0.000 0.767
O9 0.648 0.694 0.000
O10 0.694 0.648 0.500
O11 0.802 0.153 0.000
O12 0.847 0.198 0.500

---

This entry pairs a crystal structure of SrCaLaSbO6 with its calculated powder X-ray diffraction pattern. Radiation: a wavelength of 1.5418 Å. Structure: DFT lattice parameters and positions (PBE).
No peak broadening, texture or thermal motion is included.

The 10 most intense peaks (2θ = 5–70°), in order of rising 2θ:
| Position (°2θ) | I_rel |
| --- | --- |
| 21.0 | 22 |
| 29.8 | 100 |
| 42.6 | 19 |
| 42.8 | 9 |
| 48.0 | 6 |
| 48.1 | 3 |
| 52.9 | 46 |
| 61.8 | 5 |
| 62.0 | 11 |
| 66.2 | 2 |

Cell and atoms:
Cell lengths 8.459, 8.487, 8.488 Å; angles 90.00, 90.00, 90.00 degrees
Fractional positions:
Sr1 0.000 0.000 0.000
Sr2 0.000 0.000 0.500
Sr3 0.500 0.000 0.000
Sr4 0.500 0.500 0.500
Ca1 0.000 0.500 0.000
Ca2 0.000 0.500 0.500
Ca3 0.500 0.000 0.500
Ca4 0.500 0.500 0.000
La1 0.250 0.252 0.750
La2 0.250 0.748 0.250
La3 0.750 0.252 0.250
La4 0.750 0.748 0.750
Sb1 0.250 0.253 0.251
Sb2 0.250 0.747 0.749
Sb3 0.750 0.253 0.749
Sb4 0.750 0.747 0.251
O1 0.021 0.215 0.200
O2 0.021 0.785 0.800
O3 0.194 0.480 0.296
O4 0.194 0.520 0.704
O5 0.216 0.202 0.481
O6 0.216 0.798 0.519
O7 0.293 0.308 0.022
O8 0.293 0.692 0.978
O9 0.295 0.021 0.213
O10 0.295 0.979 0.787
O11 0.480 0.287 0.297
O12 0.480 0.713 0.703
O13 0.520 0.287 0.703
O14 0.520 0.713 0.297
O15 0.705 0.021 0.787
O16 0.705 0.979 0.213
O17 0.707 0.308 0.978
O18 0.707 0.692 0.022
O19 0.784 0.202 0.519
O20 0.784 0.798 0.481
O21 0.806 0.480 0.704
O22 0.806 0.520 0.296
O23 0.979 0.215 0.800
O24 0.979 0.785 0.200

---

This entry pairs a crystal structure of SrCaLaSbO6 with its calculated powder X-ray diffraction pattern. Radiation: a wavelength of 1.5418 Å. Structure: DFT lattice parameters and positions (PBE).
No peak broadening, texture or thermal motion is included.

The 10 most intense peaks (2θ = 5–70°), in order of rising 2θ:
| Position (°2θ) | I_rel |
| --- | --- |
| 17.9 | 3 |
| 20.6 | 25 |
| 29.4 | 100 |
| 34.6 | 3 |
| 42.0 | 34 |
| 47.3 | 10 |
| 52.1 | 40 |
| 60.9 | 21 |
| 65.1 | 5 |
| 69.1 | 18 |

Cell and atoms:
Cell lengths 6.083, 6.083, 6.083 Å; angles 60.00, 60.00, 60.00 degrees
Fractional positions:
Sr1 0.000 0.000 0.000
Ca1 0.500 0.500 0.500
La1 0.250 0.250 0.250
Sb1 0.750 0.750 0.750
O1 0.518 0.518 0.982
O2 0.518 0.982 0.518
O3 0.518 0.982 0.982
O4 0.982 0.518 0.518
O5 0.982 0.518 0.982
O6 0.982 0.982 0.518

---

This entry pairs a crystal structure of SrCaLaSbO6 with its calculated powder X-ray diffraction pattern. Radiation: a wavelength of 1.5418 Å. Structure: DFT lattice parameters and positions (PBE).
No peak broadening, texture or thermal motion is included.

The 10 most intense peaks (2θ = 5–70°), in order of rising 2θ:
| Position (°2θ) | I_rel |
| --- | --- |
| 21.1 | 43 |
| 29.6 | 47 |
| 29.9 | 100 |
| 30.1 | 99 |
| 30.5 | 45 |
| 42.8 | 26 |
| 43.0 | 47 |
| 52.8 | 29 |
| 53.7 | 22 |
| 54.1 | 25 |

Cell and atoms:
Cell lengths 5.863, 6.034, 8.450 Å; angles 89.85, 89.37, 89.99 degrees
Fractional positions:
Sr1 0.012 0.051 0.250
Sr2 0.988 0.949 0.750
Ca1 0.486 0.548 0.247
Ca2 0.514 0.452 0.753
La1 0.000 0.500 0.000
La2 0.500 0.000 0.500
Sb1 0.000 0.500 0.500
Sb2 0.500 0.000 0.000
O1 0.121 0.532 0.725
O2 0.175 0.778 0.443
O3 0.221 0.818 0.047
O4 0.278 0.322 0.436
O5 0.331 0.283 0.064
O6 0.404 0.057 0.774
O7 0.596 0.943 0.226
O8 0.669 0.717 0.936
O9 0.722 0.678 0.564
O10 0.779 0.182 0.953
O11 0.825 0.222 0.557
O12 0.879 0.468 0.275

---

This entry pairs a crystal structure of CaLa4Si3O13 with its calculated powder X-ray diffraction pattern. Radiation: a wavelength of 1.5418 Å. Structure: DFT lattice parameters and positions (PBE).
No peak broadening, texture or thermal motion is included.

The 10 most intense peaks (2θ = 5–70°), in order of rising 2θ:
| Position (°2θ) | I_rel |
| --- | --- |
| 21.1 | 19 |
| 22.1 | 23 |
| 27.0 | 27 |
| 28.0 | 26 |
| 30.7 | 100 |
| 30.9 | 34 |
| 31.8 | 21 |
| 45.0 | 20 |
| 47.5 | 34 |
| 50.2 | 24 |

Cell and atoms:
Cell lengths 9.736, 9.736, 7.187 Å; angles 90.00, 90.00, 120.00 degrees
Fractional positions:
Ca1 0.333 0.667 0.000
Ca2 0.667 0.333 0.500
La1 0.011 0.244 0.751
La2 0.233 0.989 0.751
La3 0.244 0.233 0.251
La4 0.333 0.667 0.501
La5 0.667 0.333 0.001
La6 0.756 0.767 0.751
La7 0.767 0.011 0.251
La8 0.989 0.756 0.251
Si1 0.030 0.403 0.249
Si2 0.373 0.970 0.249
Si3 0.403 0.373 0.749
Si4 0.597 0.627 0.249
Si5 0.627 0.030 0.749
Si6 0.970 0.597 0.749
O1 0.000 0.000 0.252
O2 0.000 0.000 0.752
O3 0.086 0.339 0.069
O4 0.089 0.344 0.433
O5 0.128 0.598 0.250
O6 0.163 0.672 0.751
O7 0.253 0.914 0.069
O8 0.254 0.911 0.433
O9 0.328 0.491 0.751
O10 0.339 0.253 0.569
O11 0.344 0.254 0.933
O12 0.402 0.531 0.250
O13 0.469 0.872 0.250
O14 0.491 0.163 0.251
O15 0.509 0.837 0.751
O16 0.531 0.128 0.750
O17 0.598 0.469 0.750
O18 0.656 0.746 0.433
O19 0.661 0.747 0.069
O20 0.672 0.509 0.251
O21 0.746 0.089 0.933
O22 0.747 0.086 0.569
O23 0.837 0.328 0.251
O24 0.872 0.402 0.750
O25 0.911 0.656 0.933
O26 0.914 0.661 0.569

---

This entry pairs a crystal structure of Ca2LaTaO6 with its calculated powder X-ray diffraction pattern. Radiation: a wavelength of 1.5418 Å. Structure: DFT lattice parameters and positions (PBE).
No peak broadening, texture or thermal motion is included.

The 10 most intense peaks (2θ = 5–70°), in order of rising 2θ:
| Position (°2θ) | I_rel |
| --- | --- |
| 18.4 | 40 |
| 18.9 | 36 |
| 30.1 | 23 |
| 30.7 | 100 |
| 31.4 | 23 |
| 36.6 | 14 |
| 44.0 | 35 |
| 53.8 | 16 |
| 55.4 | 24 |
| 64.0 | 12 |

Cell and atoms:
Cell lengths 5.706, 5.937, 10.013 Å; angles 90.00, 124.65, 90.00 degrees
Fractional positions:
Ca1 0.000 0.199 0.000
Ca2 0.000 0.801 0.500
Ca3 0.233 0.247 0.746
Ca4 0.233 0.753 0.246
La1 0.466 0.302 0.491
La2 0.466 0.698 0.991
Ta1 0.732 0.249 0.244
Ta2 0.732 0.751 0.744
O1 0.074 0.073 0.298
O2 0.074 0.927 0.798
O3 0.394 0.427 0.194
O4 0.394 0.573 0.694
O5 0.494 0.034 0.678
O6 0.494 0.966 0.178
O7 0.617 0.301 0.016
O8 0.617 0.699 0.516
O9 0.850 0.197 0.475
O10 0.850 0.803 0.975
O11 0.972 0.469 0.813
O12 0.972 0.531 0.313

---

This entry pairs a crystal structure of CaLa8Se12 with its calculated powder X-ray diffraction pattern. Radiation: a wavelength of 1.5418 Å. Structure: DFT lattice parameters and positions (PBE).
No peak broadening, texture or thermal motion is included.

The 10 most intense peaks (2θ = 5–70°), in order of rising 2θ:
| Position (°2θ) | I_rel |
| --- | --- |
| 24.0 | 20 |
| 31.1 | 100 |
| 37.0 | 62 |
| 44.5 | 18 |
| 46.8 | 15 |
| 49.0 | 9 |
| 51.2 | 15 |
| 62.9 | 16 |
| 63.0 | 8 |
| 66.6 | 9 |

Cell and atoms:
Cell lengths 9.104, 9.104, 15.056 Å; angles 107.54, 107.54, 89.99 degrees
Fractional positions:
Ca1 0.062 0.938 0.500
Ca2 0.938 0.062 0.000
La1 0.057 0.812 0.751
La2 0.100 0.473 0.332
La3 0.140 0.394 0.915
La4 0.140 0.768 0.165
La5 0.267 0.390 0.666
La6 0.390 0.267 0.166
La7 0.394 0.140 0.415
La8 0.434 0.809 0.000
La9 0.473 0.100 0.832
La10 0.474 0.728 0.583
La11 0.603 0.725 0.333
La12 0.725 0.603 0.833
La13 0.728 0.474 0.083
La14 0.768 0.140 0.665
La15 0.809 0.434 0.500
La16 0.812 0.057 0.251
Se1 0.069 0.421 0.116
Se2 0.085 0.736 0.950
Se3 0.086 0.233 0.449
Se4 0.117 0.117 0.214
Se5 0.117 0.117 0.714
Se6 0.131 0.637 0.548
Se7 0.233 0.086 0.949
Se8 0.302 0.799 0.382
Se9 0.398 0.751 0.783
Se10 0.417 0.564 0.115
Se11 0.421 0.069 0.616
Se12 0.451 0.451 0.384
Se13 0.451 0.451 0.884
Se14 0.470 0.967 0.217
Se15 0.564 0.417 0.615
Se16 0.637 0.131 0.048
Se17 0.736 0.085 0.450
Se18 0.751 0.398 0.283
Se19 0.751 0.905 0.785
Se20 0.780 0.783 0.548
Se21 0.783 0.780 0.048
Se22 0.799 0.302 0.882
Se23 0.905 0.751 0.285
Se24 0.967 0.470 0.717